(1)
The following is a theoretical powder XRD pattern of Ce2Ho12Tm5. It was derived from DFT lattice parameters and positions (PBE), using Cu Kα (λ = 1.5418 Å).

Most intense lines, 10° ≤ 2θ ≤ 90°, by angle:
2θ (°), I/Imax
28.3, 23
30.3, 27
30.6, 44
31.6, 100
32.0, 36
32.5, 72
32.8, 84
32.8, 54
34.8, 25
48.6, 23

Cell and atoms:
```
data_Ce2Ho12Tm5
_space_group_name_H-M_alt 'P -1'
_space_group_IT_number 2
_cell_length_a 6.128
_cell_length_b 10.015
_cell_length_c 10.417
_cell_angle_alpha 66.89
_cell_angle_beta 84.65
_cell_angle_gamma 87.29
loop_
_space_group_symop_operation_xyz
'x,y,z'
'-x,-y,-z'
loop_
_atom_site_label
_atom_site_type_symbol
_atom_site_fract_x
_atom_site_fract_y
_atom_site_fract_z
Ce1 Ce 0.200 0.485 0.041
Ho1 Ho 0.027 0.154 0.340
Ho2 Ho 0.097 0.834 0.995
Ho3 Ho 0.112 0.170 0.669
Ho4 Ho 0.389 0.672 0.472
Ho5 Ho 0.413 0.329 0.843
Ho6 Ho 0.452 0.702 0.765
Tm1 Tm 0.078 0.494 0.339
Tm2 Tm 0.402 0.003 0.164
Tm3 Tm 0.500 0.000 0.500
```

---

(2)
The following is a theoretical powder XRD pattern of Pm6MgSn6. It was derived from DFT lattice parameters and positions (PBE), using Cu Kα (λ = 1.5418 Å).

Most intense lines, 10° ≤ 2θ ≤ 90°, by angle:
2θ (°), I/Imax
13.7, 21
23.9, 18
27.7, 47
31.0, 39
34.1, 100
42.1, 19
48.9, 40
60.9, 19
64.7, 17
81.8, 17

Cell and atoms:
```
data_Pm6MgSn6
_space_group_name_H-M_alt 'P 6/m m m'
_space_group_IT_number 191
_space_group_name_Hall '-P 6 2'
_cell_length_a 7.4494
_cell_length_b 7.4494
_cell_length_c 9.1070
_cell_angle_alpha 90.00
_cell_angle_beta 90.00
_cell_angle_gamma 120.00
loop_
_atom_site_label
_atom_site_type_symbol
_atom_site_fract_x
_atom_site_fract_y
_atom_site_fract_z
Pm1 Pm 0.0000 0.5000 0.2488
Mg1 Mg 0.0000 0.0000 0.5000
Sn1 Sn 0.0000 0.0000 0.1682
Sn2 Sn 0.3333 0.6667 0.0000
Sn3 Sn 0.3333 0.6667 0.5000
```

---

(3)
The following is a theoretical powder XRD pattern of MgSc4C2. It was derived from DFT lattice parameters and positions (PBE), using Cu Kα (λ = 1.5418 Å).

Most intense lines, 10° ≤ 2θ ≤ 90°, by angle:
2θ (°), I/Imax
30.5, 27
32.9, 70
34.0, 49
34.7, 100
35.4, 94
37.7, 23
47.0, 21
52.7, 23
64.0, 19
66.3, 30

Cell and atoms:
```
data_MgSc4C2
_space_group_name_H-M_alt 'C m c m'
_space_group_IT_number 63
_space_group_name_Hall '-C 2c 2'
_cell_length_a 3.474
_cell_length_b 11.664
_cell_length_c 12.300
_cell_angle_alpha 90.00
_cell_angle_beta 90.00
_cell_angle_gamma 90.00
loop_
_atom_site_label
_atom_site_type_symbol
_atom_site_fract_x
_atom_site_fract_y
_atom_site_fract_z
Mg1 Mg 0.000 0.116 0.250
Sc1 Sc 0.000 0.000 0.000
Sc2 Sc 0.000 0.251 0.596
Sc3 Sc 0.000 0.408 0.250
C1 C 0.000 0.365 0.060
```

---

(4)
The following is a theoretical powder XRD pattern of Sm3Dy4Ru4. It was derived from DFT lattice parameters and positions (PBE), using Cu Kα (λ = 1.5418 Å).

Most intense lines, 10° ≤ 2θ ≤ 90°, by angle:
2θ (°), I/Imax
29.3, 24
29.7, 26
32.3, 100
34.2, 54
34.7, 68
37.3, 24
38.9, 42
40.7, 21
50.5, 24
62.0, 24

Cell and atoms:
```
data_Sm3Dy4Ru4
_space_group_name_H-M_alt 'I m m m'
_space_group_IT_number 71
_space_group_name_Hall '-I 2 2'
_cell_length_a 3.611
_cell_length_b 8.993
_cell_length_c 16.211
_cell_angle_alpha 90.00
_cell_angle_beta 90.00
_cell_angle_gamma 90.00
loop_
_atom_site_label
_atom_site_type_symbol
_atom_site_fract_x
_atom_site_fract_y
_atom_site_fract_z
Sm1 Sm 0.000 0.000 0.000
Sm2 Sm 0.000 0.500 0.099
Dy1 Dy 0.000 0.310 0.334
Ru1 Ru 0.000 0.000 0.255
Ru2 Ru 0.000 0.228 0.500
```